The following is a calculated X-ray diffraction stick pattern of Sr5Tl2Bi. It was derived from the GGA-PBE geometry in Alexandria, using Cu Kα (λ = 1.5418 Å).

Top 10 peaks for 2θ = 15–90°, most intense first:
d (Å), Rel. int.
3.170, 100
2.824, 60
4.912, 44
2.941, 31
2.461, 24
1.580, 20
2.289, 18
1.607, 18
2.147, 18
1.598, 16

Crystal structure
```
Sr5Tl2Bi
1.0
-4.4654 4.4654 7.8150
4.4654 -4.4654 7.8150
4.4654 4.4654 -7.8150
Sr Tl Bi
10 4 2
Cartesian
0.0000 0.0000 0.0000
5.9669 1.5015 -2.2636
1.5015 2.9638 -2.2636
5.9669 1.5015 2.2636
1.5015 2.9638 2.2636
0.0000 0.0000 7.8150
2.9638 1.5015 5.5514
-1.5015 2.9638 5.5514
2.9638 1.5015 10.0786
-1.5015 2.9638 10.0786
3.3458 1.1195 0.0000
3.3458 -1.1195 7.8150
1.1195 5.5849 0.0000
1.1195 3.3458 7.8150
0.0000 0.0000 3.9075
0.0000 0.0000 11.7225
```